Diffraction record for Sr2Li2WO6. The powder diffraction line list is theoretical, not measured: it uses a cell relaxed with PBE+U and a wavelength of 1.5418 Å.
Lines closer than 0.1° are merged.

Most intense lines, 10° ≤ 2θ ≤ 80°, by angle:
h k l	2θ/deg	I/Imax
1 0 0	19.02	13
1 0 1	24.93	100
0 0 2	32.25	10
1 1 0	33.25	34
2 0 1	42.00	24
1 1 2	47.00	42
1 0 3	53.25	12
2 1 1	54.59	23
3 0 0	59.41	12
3 -1 3	74.29	10

Crystal structure
Lattice parameters (Å, degrees): 5.3891 5.3891 5.5510 90.00 90.00 120.00
Space group P-31m (No. 162)
Asymmetric unit:
1 Sr 0.3333 0.6667 0.0000 x2
2 Li 0.3333 0.6667 0.5000 x2
3 W 0.0000 0.0000 0.5000 x1
4 O 0.0000 0.3028 0.2986 x6